1.
Starting from a cell relaxed with PBE, the PXRD pattern of InWAu3Se4 was calculated for CuKα.

Atomic structure:
Unit cell a=6.366 b=6.366 c=6.366 alpha=90.00 beta=90.00 gamma=90.00
Space group P-43m (No. 215)
Asymmetric unit:
In 0.000 0.000 0.000 x1
W 0.500 0.500 0.500 x1
Au 0.000 0.500 0.500 x3
Se 0.277 0.277 0.277 x4

The 12 most intense peaks (2θ from 10° to 80°), by angle:
- 13.9°, intensity 46, (1 0 0)
- 24.2°, intensity 66, (1 1 1)
- 28.0°, intensity 32, (2 0 0)
- 31.4°, intensity 12, (2 1 0)
- 40.1°, intensity 100, (2 2 0)
- 42.6°, intensity 12, (2 2 1)
- 47.4°, intensity 32, (3 1 1)
- 51.8°, intensity 12, (3 2 0)
- 57.9°, intensity 16, (4 0 0)
- 63.7°, intensity 12, (3 3 1)
- 65.6°, intensity 15, (4 2 0)
- 72.8°, intensity 31, (4 2 2)

2.
Starting from a cell relaxed with PBE, the PXRD pattern of SrIn2Au2 was calculated for CuKα.

Atomic structure:
Unit cell a=8.660 b=4.660 c=12.435 alpha=90.00 beta=90.00 gamma=90.00
Space group Pnma (No. 62)
Asymmetric unit:
Sr 0.211 0.250 0.167 x4
In 0.094 0.250 0.448 x4
In 0.155 0.250 0.861 x4
Au 0.009 0.750 0.330 x4
Au 0.094 0.750 0.985 x4

The 12 most intense peaks (2θ from 10° to 80°), by angle:
- 20.5°, intensity 23, (2 0 0)
- 23.8°, intensity 43, (1 0 3)
- 29.1°, intensity 38, (2 1 1)
- 30.7°, intensity 100, (1 1 3)
- 36.3°, intensity 27, (1 1 4)
- 37.4°, intensity 51, (3 1 1)
- 38.0°, intensity 29, (3 0 3)
- 38.6°, intensity 66, (0 2 0)
- 39.5°, intensity 26, (3 1 2)
- 40.6°, intensity 29, (2 1 4)
- 41.1°, intensity 35, (0 1 5)
- 42.8°, intensity 27, (3 1 3)

3.
Starting from a cell relaxed with PBE, the PXRD pattern of TbInTe4Au3 was calculated for CuKα.

Atomic structure:
Unit cell a=6.693 b=6.693 c=6.693 alpha=90.00 beta=90.00 gamma=90.00
Space group P-43m (No. 215)
Asymmetric unit:
Tb 0.000 0.000 0.000 x1
In 0.500 0.500 0.500 x1
Te 0.249 0.249 0.751 x4
Au 0.000 0.000 0.500 x3

The 12 most intense peaks (2θ from 10° to 80°), by angle:
- 13.2°, intensity 19, (1 0 0)
- 23.0°, intensity 72, (1 1 1)
- 26.6°, intensity 9, (2 0 0)
- 29.9°, intensity 11, (2 1 0)
- 38.0°, intensity 100, (2 2 0)
- 40.4°, intensity 7, (2 2 1)
- 44.9°, intensity 37, (3 1 1)
- 54.9°, intensity 17, (4 0 0)
- 56.7°, intensity 4, (4 1 0)
- 60.3°, intensity 15, (3 3 1)
- 68.7°, intensity 35, (4 2 2)
- 73.5°, intensity 12, (5 1 1)

4.
Starting from a cell relaxed with PBE, the PXRD pattern of TbInTe4Au3 was calculated for CuKα.

Atomic structure:
Unit cell a=6.195 b=8.209 c=10.955 alpha=90.00 beta=104.26 gamma=90.00
Space group P2_1/m (No. 11)
Asymmetric unit:
Tb 0.097 0.250 0.317 x2
In 0.280 0.250 0.942 x2
Te 0.065 0.250 0.590 x2
Te 0.173 0.750 0.951 x2
Te 0.369 0.533 0.265 x4
Au 0.294 0.563 0.530 x4
Au 0.431 0.750 0.781 x2

The 12 most intense peaks (2θ from 10° to 80°), by angle:
- 13.6°, intensity 76, (0 1 1)
- 23.2°, intensity 59, (0 2 1)
- 26.5°, intensity 58, (1 2 -1)
- 30.9°, intensity 39, (2 1 -1)
- 32.4°, intensity 100, (1 0 3)
- 33.8°, intensity 46, (0 0 4)
- 35.2°, intensity 70, (1 1 -4)
- 36.1°, intensity 34, (1 3 0)
- 37.9°, intensity 57, (1 3 1)
- 39.8°, intensity 76, (2 2 1)
- 40.7°, intensity 72, (2 2 -3)
- 41.7°, intensity 39, (0 3 3)

5.
Starting from a cell relaxed with PBE, the PXRD pattern of InTe2Au was calculated for CuKα.

Atomic structure:
Unit cell a=6.343 b=13.471 c=6.360 alpha=90.00 beta=90.00 gamma=90.00
Space group Pbcn (No. 60)
Asymmetric unit:
In 0.000 0.250 0.250 x4
Te 0.213 0.118 0.538 x8
Au 0.000 0.404 0.750 x4

The 12 most intense peaks (2θ from 10° to 80°), by angle:
- 15.4°, intensity 26, (1 1 0)
- 19.2°, intensity 18, (0 2 1)
- 23.8°, intensity 78, (1 2 1)
- 26.5°, intensity 20, (0 4 0)
- 28.1°, intensity 100, (1 3 1)
- 32.2°, intensity 30, (1 1 2)
- 34.3°, intensity 32, (2 2 1)
- 39.0°, intensity 17, (2 4 0)
- 40.2°, intensity 59, (2 0 2)
- 49.7°, intensity 41, (3 3 1)
- 58.1°, intensity 21, (0 0 4)
- 65.8°, intensity 20, (3 3 3)

6.
Starting from a cell relaxed with PBE, the PXRD pattern of In2Te2Au was calculated for CuKα.

Atomic structure:
Unit cell a=7.167 b=7.263 c=12.711 alpha=90.00 beta=90.00 gamma=90.00
Space group Fmm2 (No. 42)
Asymmetric unit:
In 0.250 0.250 0.000 x8
Te 0.000 0.000 0.118 x4
Te 0.000 0.000 0.383 x4
Au 0.000 0.000 0.756 x4

The 12 most intense peaks (2θ from 10° to 80°), by angle:
- 27.4°, intensity 100, (1 1 3)
- 28.3°, intensity 50, (0 2 2)
- 28.6°, intensity 48, (2 0 2)
- 35.2°, intensity 77, (2 2 0)
- 39.6°, intensity 26, (1 1 5)
- 44.9°, intensity 26, (1 3 3)
- 45.3°, intensity 26, (3 1 3)
- 49.8°, intensity 15, (0 2 6)
- 50.0°, intensity 15, (2 0 6)
- 50.2°, intensity 14, (0 4 0)
- 58.5°, intensity 13, (3 3 3)
- 69.7°, intensity 27, (2 2 8)